(1)
# LuGaAgRh
Theoretical powder diffraction line list, Cu Kα X-rays. Input: a crystal structure in Alexandria, relaxed with GGA-PBE.

Structural model:
```
LuGaAgRh
1.0
0.000 3.284 3.284
3.284 0.000 3.284
3.284 3.284 0.000
Lu Ga Ag Rh
1 1 1 1
Direct
0.000 0.000 0.000
0.500 0.500 0.500
0.250 0.250 0.250
0.750 0.750 0.750
```

The 6 most intense peaks (10 to 80 degrees two-theta), by angle:
2theta  intensity
23.46  11
38.78  100
45.83  6
56.01  17
61.55  3
70.21  34

(2)
# AcSb12Rh4
Theoretical powder diffraction line list, Cu Kα X-rays. Input: a crystal structure in Alexandria, relaxed with GGA-PBE.

Structural model:
```
AcSb12Rh4
1.0
-4.738 4.738 4.738
4.738 -4.738 4.738
4.738 4.738 -4.738
Ac Sb Rh
1 12 4
Direct
0.000 0.000 0.000
0.157 0.340 0.497
0.157 0.660 0.817
0.183 0.843 0.340
0.340 0.183 0.843
0.340 0.497 0.157
0.497 0.157 0.340
0.503 0.843 0.660
0.660 0.503 0.843
0.660 0.817 0.157
0.817 0.157 0.660
0.843 0.340 0.183
0.843 0.660 0.503
0.000 0.000 0.500
0.000 0.500 0.000
0.500 0.000 0.000
0.500 0.500 0.500
```

The 6 most intense peaks (10 to 80 degrees two-theta), by angle:
2theta  intensity
29.81  100
35.44  53
42.67  17
46.97  35
49.01  32
66.97  18

(3)
# TlSnHgSe
Theoretical powder diffraction line list, Cu Kα X-rays. Input: a crystal structure in Alexandria, relaxed with GGA-PBE.

Structural model:
```
TlSnHgSe
1.0
3.395 -1.963 0.000
3.395 1.963 0.000
-2.254 0.000 9.036
Tl Sn Hg Se
1 1 1 1
Direct
0.000 0.000 0.000
0.846 0.846 0.542
0.423 0.423 0.272
0.574 0.574 0.730
```

The 6 most intense peaks (10 to 80 degrees two-theta), by angle:
2theta  intensity
27.05  83
31.06  85
35.14  100
46.28  49
54.55  25
62.73  31

(4)
# Ce3NdPt8
Theoretical powder diffraction line list, Cu Kα X-rays. Input: a crystal structure in Alexandria, relaxed with GGA-PBE.

Structural model:
```
Ce3NdPt8
1.0
2.749 1.587 8.979
-2.749 1.587 8.979
0.000 -3.174 8.979
Ce Nd Pt
3 1 8
Direct
0.000 0.000 0.000
0.124 0.124 0.124
0.497 0.497 0.497
0.622 0.622 0.622
0.060 0.060 0.561
0.060 0.561 0.060
0.060 0.561 0.561
0.311 0.311 0.311
0.561 0.060 0.060
0.561 0.060 0.561
0.561 0.561 0.060
0.811 0.811 0.811
```

The 6 most intense peaks (10 to 80 degrees two-theta), by angle:
2theta  intensity
19.78  17
32.57  18
38.39  100
40.17  51
62.02  33
68.23  30